# IrRh8
Theoretical powder diffractogram, λ = 1.5418 Å (Cu Kα). Input: a cell relaxed with GGA-PBE.
Peak positions follow from Bragg's law for the DFT cell and can differ from measured ones.

Atomic structure:
abc: 6.079 6.079 6.079
angles: 95.73 95.73 143.18
Sites, in units of the cell vectors:
Ir 0.000 0.000 0.000
Rh 0.000 0.333 0.333
Rh 0.000 0.667 0.667
Rh 0.333 0.000 0.333
Rh 0.335 0.335 0.670
Rh 0.335 0.665 0.000
Rh 0.665 0.335 0.000
Rh 0.665 0.665 0.330
Rh 0.667 0.000 0.667

Largest 12 diffraction maxima, most intense first, 2θ = 15–90°:
| Position (°2θ) | d (Å) | I (rel.) |
| --- | --- | --- |
| 40.66 | 2.219 | 100 |
| 47.30 | 1.922 | 48 |
| 83.40 | 1.159 | 37 |
| 69.12 | 1.359 | 30 |
| 88.02 | 1.110 | 11 |
| 15.36 | 5.768 | 4 |
| 33.89 | 2.645 | 2 |
| 25.64 | 3.475 | 2 |
| 21.79 | 4.079 | 2 |
| 46.59 | 1.949 | 1 |
| 34.78 | 2.580 | 1 |
| 51.99 | 1.759 | 1 |

# PmThTl
Theoretical powder diffractogram, λ = 1.5418 Å (Cu Kα). Input: a cell relaxed with GGA-PBE.
Peak positions follow from Bragg's law for the DFT cell and can differ from measured ones.

Atomic structure:
abc: 3.664 5.050 10.245
angles: 90.00 100.21 90.00
Sites, in units of the cell vectors:
Pm 0.103 0.250 0.209
Pm 0.897 0.750 0.791
Th 0.286 0.250 0.571
Th 0.714 0.750 0.429
Tl 0.455 0.250 0.905
Tl 0.545 0.750 0.095

Largest 12 diffraction maxima, most intense first, 2θ = 15–90°:
| Position (°2θ) | d (Å) | I (rel.) |
| --- | --- | --- |
| 30.46 | 2.934 | 100 |
| 31.99 | 2.798 | 88 |
| 33.02 | 2.712 | 48 |
| 35.55 | 2.525 | 42 |
| 37.65 | 2.389 | 32 |
| 60.39 | 1.533 | 30 |
| 49.31 | 1.848 | 26 |
| 39.80 | 2.265 | 17 |
| 62.65 | 1.483 | 16 |
| 68.20 | 1.375 | 16 |
| 60.72 | 1.525 | 16 |
| 49.77 | 1.832 | 16 |